For Li2Co3TeO8, a crystal structure in Alexandria, relaxed with GGA+U gives the calculated powder diffraction line list in this record (Cu Kα (weighted mean of Kα1 and Kα2)).
Kinematic intensities with the Lorentz-polarization factor, no thermal factor.

Largest 10 diffraction maxima, by angle, 2θ = 5–70°:
2θ = 18.29°, I 1000
2θ = 34.44°, I 212
2θ = 35.19°, I 310
2θ = 35.60°, I 79
2θ = 37.06°, I 139
2θ = 42.64°, I 487
2θ = 47.35°, I 130
2θ = 56.44°, I 128
2θ = 60.91°, I 154
2θ = 62.86°, I 146

Cell: 6.089 6.089 6.089 Å, 58.11 58.11 58.11°
Fractional coordinates of all 14 atoms:
Li: 0.135 0.135 0.135
Li: 0.865 0.865 0.865
Co: 0.000 0.500 0.500
Co: 0.500 0.000 0.500
Co: 0.500 0.500 0.000
Te: 0.500 0.500 0.500
O: 0.269 0.269 0.724
O: 0.269 0.724 0.269
O: 0.272 0.272 0.272
O: 0.276 0.731 0.731
O: 0.724 0.269 0.269
O: 0.728 0.728 0.728
O: 0.731 0.276 0.731
O: 0.731 0.731 0.276